Record 1
Calculated powder X-ray diffraction pattern
Compound: Sc2Cu2Ge4O13
Radiation: λ = 1.5418 Å (Cu Kα)
Structure: the PBE geometry in the Materials Project
No peak broadening, texture or thermal motion is included.

Cell and atoms:
Cell: 4.981 8.872 12.440 Å, 90.00 96.06 90.00°
Space group P2_1/m (No. 11)
Unique sites:
Sc1 0.046 0.062 0.373 x4
Cu1 0.047 0.502 0.123 x4
Ge1 0.325 0.250 0.751 x2
Ge2 0.390 0.250 0.993 x2
Ge3 0.398 0.750 0.485 x2
Ge4 0.491 0.250 0.233 x2
O1 0.124 0.085 0.748 x4
O2 0.197 0.083 0.996 x4
O3 0.207 0.583 0.495 x4
O4 0.211 0.750 0.676 x2
O5 0.286 0.087 0.242 x4
O6 0.290 0.250 0.433 x2
O7 0.365 0.750 0.893 x2
O8 0.447 0.750 0.127 x2
O9 0.452 0.750 0.347 x2

The 10 most intense peaks (2θ from 5° to 70°), by angle:
| d/Å | two_theta | I (rel.) | (hkl) |
| --- | --- | --- | --- |
| 4.205 | 21.13 | 9 | 1 1 -1 |
| 3.400 | 26.21 | 10 | 1 1 2 |
| 3.305 | 26.98 | 100 | 1 2 0 |
| 3.250 | 27.44 | 13 | 1 2 -1 |
| 2.856 | 31.32 | 12 | 1 1 3 |
| 2.757 | 32.47 | 24 | 1 0 -4 |
| 2.537 | 35.38 | 29 | 0 2 4 |
| 2.218 | 40.68 | 15 | 0 4 0 |
| 1.728 | 52.99 | 10 | 1 4 -4 |
| 1.674 | 54.84 | 11 | 2 3 3 |

Record 2
Calculated powder X-ray diffraction pattern
Compound: RbTiS2
Radiation: λ = 1.5418 Å (Cu Kα)
Structure: the PBE geometry in the Materials Project
No peak broadening, texture or thermal motion is included.

Cell and atoms:
Cell: 3.6850 3.6850 22.9382 Å, 90.00 90.00 120.00°
Space group R3m (No. 160, hexagonal axes)
Unique sites:
Rb1 0.0000 0.0000 0.0000 x3
Ti1 0.0000 0.0000 0.1688 x3
S1 0.0000 0.0000 0.5614 x3
S2 0.0000 0.0000 0.7757 x3

The 10 most intense peaks (2θ from 5° to 70°), by angle:
| d/Å | two_theta | I (rel.) | (hkl) |
| --- | --- | --- | --- |
| 3.823 | 23.27 | 25 | 0 0 6 |
| 3.161 | 28.23 | 39 | 1 0 1 |
| 3.075 | 29.04 | 29 | 0 1 2 |
| 2.789 | 32.10 | 34 | 1 0 4 |
| 2.620 | 34.23 | 100 | 0 1 5 |
| 2.286 | 39.41 | 29 | 1 0 7 |
| 1.843 | 49.47 | 42 | 1 1 0 |
| 1.660 | 55.35 | 14 | 1 1 6 |
| 1.544 | 59.90 | 14 | 1 0 13 |
| 1.507 | 61.53 | 16 | 2 0 5 |

Record 3
Calculated powder X-ray diffraction pattern
Compound: YMg
Radiation: λ = 1.5418 Å (Cu Kα)
Structure: the PBE geometry in the Materials Project
No peak broadening, texture or thermal motion is included.

Cell and atoms:
Cell: 3.4669 3.4669 16.6270 Å, 90.00 90.00 120.00°
Space group R-3m (No. 166, hexagonal axes)
Unique sites:
Y1 0.0000 0.0000 0.0000 x3
Mg1 0.0000 0.0000 0.5000 x3

The 10 most intense peaks (2θ from 5° to 70°), by angle:
| d/Å | two_theta | I (rel.) | (hkl) |
| --- | --- | --- | --- |
| 5.542 | 15.99 | 55 | 0 0 3 |
| 2.955 | 30.25 | 35 | 1 0 1 |
| 2.824 | 31.69 | 100 | 0 1 2 |
| 2.771 | 32.30 | 32 | 0 0 6 |
| 2.434 | 36.93 | 65 | 1 0 4 |
| 2.228 | 40.48 | 16 | 0 1 5 |
| 1.733 | 52.81 | 23 | 1 1 0 |
| 1.709 | 53.63 | 22 | 0 1 8 |
| 1.477 | 62.91 | 13 | 2 0 2 |
| 1.470 | 63.28 | 26 | 1 1 6 |

Record 4
Calculated powder X-ray diffraction pattern
Compound: CeMg2
Radiation: λ = 1.5418 Å (Cu Kα)
Structure: the PBE geometry in the Materials Project
No peak broadening, texture or thermal motion is included.

Cell and atoms:
Cell: 10.328 5.938 5.126 Å, 90.00 90.00 90.00°
Space group Cmcm (No. 63)
Unique sites:
Ce1 0.000 0.129 0.250 x4
Mg1 0.172 0.355 0.750 x8

The 10 most intense peaks (2θ from 5° to 70°), by angle:
| d/Å | two_theta | I (rel.) | (hkl) |
| --- | --- | --- | --- |
| 5.155 | 17.20 | 100 | 2 0 0 |
| 3.632 | 24.51 | 46 | 1 1 1 |
| 2.978 | 30.01 | 34 | 3 1 0 |
| 2.576 | 34.83 | 66 | 3 1 1 |
| 2.567 | 34.96 | 74 | 0 0 2 |
| 2.299 | 39.19 | 37 | 2 2 1 |
| 1.943 | 46.76 | 24 | 3 1 2 |
| 1.822 | 50.07 | 20 | 4 2 1 |
| 1.481 | 62.72 | 19 | 0 2 3 |
| 1.430 | 65.24 | 17 | 6 2 1 |

Record 5
Calculated powder X-ray diffraction pattern
Compound: SbBrO
Radiation: λ = 1.5418 Å (Cu Kα)
Structure: the PBE geometry in the Materials Project
No peak broadening, texture or thermal motion is included.

Cell and atoms:
Cell: 3.835 3.835 8.770 Å, 90.00 90.00 90.00°
Space group P4/nmm (No. 129, origin choice 2)
Unique sites:
Sb1 0.250 0.250 0.140 x2
Br1 0.250 0.250 0.679 x2
O1 0.250 0.750 0.000 x2

The 10 most intense peaks (2θ from 5° to 70°), by angle:
| d/Å | two_theta | I (rel.) | (hkl) |
| --- | --- | --- | --- |
| 8.770 | 10.09 | 37 | 0 0 1 |
| 2.887 | 30.98 | 100 | 1 0 2 |
| 2.712 | 33.03 | 44 | 1 1 0 |
| 2.325 | 38.73 | 9 | 1 0 3 |
| 2.307 | 39.05 | 13 | 1 1 2 |
| 1.918 | 47.41 | 21 | 2 0 0 |
| 1.904 | 47.78 | 14 | 1 0 4 |
| 1.705 | 53.76 | 13 | 1 1 4 |
| 1.597 | 57.72 | 35 | 2 1 2 |
| 1.351 | 69.59 | 9 | 2 1 4 |

Record 6
Calculated powder X-ray diffraction pattern
Compound: Li2CuO2
Radiation: λ = 1.5418 Å (Cu Kα)
Structure: the PBE geometry in the Materials Project
No peak broadening, texture or thermal motion is included.

Cell and atoms:
Cell: 6.503 2.869 5.295 Å, 90.00 103.22 90.00°
Space group C2/m (No. 12)
Unique sites:
Li1 0.172 0.000 0.147 x4
Cu1 0.000 0.500 0.500 x2
O1 0.105 0.000 0.757 x4

The 10 most intense peaks (2θ from 5° to 70°), by angle:
| d/Å | two_theta | I (rel.) | (hkl) |
| --- | --- | --- | --- |
| 5.154 | 17.20 | 100 | 0 0 1 |
| 3.165 | 28.19 | 43 | 2 0 0 |
| 3.023 | 29.55 | 72 | 2 0 -1 |
| 2.613 | 34.32 | 14 | 1 1 0 |
| 2.425 | 37.08 | 29 | 1 1 -1 |
| 2.269 | 39.73 | 15 | 2 0 -2 |
| 2.247 | 40.14 | 46 | 1 1 1 |
| 1.928 | 47.13 | 29 | 1 1 -2 |
| 1.754 | 52.15 | 28 | 1 1 2 |
| 1.700 | 53.94 | 21 | 3 1 0 |

Record 7
Calculated powder X-ray diffraction pattern
Compound: LiSmSn2
Radiation: λ = 1.5418 Å (Cu Kα)
Structure: the PBE geometry in the Materials Project
No peak broadening, texture or thermal motion is included.

Cell and atoms:
Cell: 4.463 19.190 4.537 Å, 90.00 90.00 90.00°
Space group Cmcm (No. 63)
Unique sites:
Li1 0.000 0.175 0.250 x4
Sm1 0.000 0.395 0.250 x4
Sn1 0.000 0.045 0.250 x4
Sn2 0.000 0.249 0.750 x4

The 10 most intense peaks (2θ from 5° to 70°), by angle:
| d/Å | two_theta | I (rel.) | (hkl) |
| --- | --- | --- | --- |
| 3.660 | 24.32 | 14 | 1 3 0 |
| 3.198 | 27.89 | 15 | 0 6 0 |
| 2.910 | 30.72 | 13 | 1 5 0 |
| 2.849 | 31.40 | 100 | 1 3 1 |
| 2.614 | 34.30 | 17 | 0 6 1 |
| 2.269 | 39.73 | 17 | 0 0 2 |
| 2.232 | 40.42 | 17 | 2 0 0 |
| 1.591 | 57.97 | 12 | 2 0 2 |
| 1.398 | 66.94 | 12 | 1 3 3 |
| 1.380 | 67.90 | 11 | 3 3 1 |